Entry 1:
This entry pairs a crystal structure of TaTc7 with its calculated powder X-ray diffraction pattern. Radiation: Cu Ka. Structure: a PBE-relaxed structure.

Peak list (12 most intense, 10° ≤ 2θ ≤ 90°, in order of falling intensity)
- 39.84°, I = 100, (2 2 2)
- 46.33°, I = 48, (4 0 0)
- 81.44°, I = 36, (6 2 2)
- 67.61°, I = 31, (4 4 0)
- 85.90°, I = 11, (4 4 4)
- 19.62°, I = 4, (1 1 1)
- 38.07°, I = 3, (3 1 1)
- 22.69°, I = 2, (2 0 0)
- 32.30°, I = 2, (2 2 0)
- 50.77°, I = 1, (3 3 1)
- 52.19°, I = 1, (4 2 0)
- 61.46°, I = 1, (5 1 1)

Structure:
Lattice parameters (Å, degrees): 7.839 7.839 7.839 90.00 90.00 90.00
Space group Fm-3m (No. 225)
Unique sites:
Ta 0.000 0.000 0.000 x4
Tc 0.000 0.000 0.500 x4
Tc 0.000 0.250 0.250 x24

Entry 2:
This entry pairs a crystal structure of CsMg6BO8 with its calculated powder X-ray diffraction pattern. Radiation: Cu Ka. Structure: a PBE-relaxed structure.

Peak list (12 most intense, 10° ≤ 2θ ≤ 90°, in order of falling intensity)
- 35.30°, I = 100, (2 0 0)
- 20.78°, I = 44, (1 0 1)
- 33.71°, I = 38, (1 1 2)
- 11.21°, I = 38, (0 0 1)
- 59.27°, I = 32, (2 0 4)
- 50.78°, I = 32, (2 2 0)
- 46.01°, I = 28, (0 0 4)
- 27.25°, I = 26, (1 1 1)
- 17.44°, I = 24, (1 0 0)
- 28.63°, I = 21, (1 0 2)
- 38.52°, I = 21, (1 0 3)
- 70.91°, I = 19, (2 2 4)

Structure:
Lattice parameters (Å, degrees): 5.086 5.086 7.895 90.00 90.00 90.00
Space group P4/mmm (No. 123)
Unique sites:
Cs 0.000 0.000 0.000 x1
Mg 0.000 0.500 0.258 x4
Mg 0.500 0.500 0.000 x1
Mg 0.500 0.500 0.500 x1
B 0.000 0.000 0.500 x1
O 0.000 0.000 0.335 x2
O 0.000 0.500 0.000 x2
O 0.000 0.500 0.500 x2
O 0.500 0.500 0.249 x2